Simulated powder diffractogram of Co3Te2Br2O6 for Cu Kα (λ = 1.5418 Å), from the GGA+U geometry in OQMD.
No peak broadening, texture or thermal motion is included.

Principal peaks in the range 5° ≤ 2θ ≤ 70°, sorted by position:
h k l	two_theta	Rel. int.
0 0 2	23.78	221
2 0 1	26.80	1000
0 2 0	27.87	805
3 1 -2	34.45	721
1 1 -3	36.63	510
2 2 1	39.05	473
5 1 -1	50.82	296
3 3 -2	53.66	253
4 0 2	55.22	305
5 3 -1	66.43	154

Structure:
a = 9.430 Å, b = 6.402 Å, c = 7.990 Å
α = 90.00°, β = 110.52°, γ = 90.00°
Space group C2/m (No. 12)
Inequivalent atoms, fractional coordinates:
Co 0.000 0.000 0.000
Co 0.074 0.500 0.849
Te 0.158 0.000 0.726
Br 0.218 0.500 0.635
O 0.084 0.195 0.858
O 0.137 0.500 0.128